Diffraction record for MgZnH20PtC4N4O12. The PXRD pattern is theoretical, not measured: it uses the PBE geometry in the Materials Project and Cu Kα.

Structural model:
a b c (Å): 7.472 8.648 15.100
angles (deg): 90.00 90.00 90.00
Space group I222 (No. 23)
Unique sites:
Mg1 0.000 0.000 0.000
Zn1 0.000 0.500 0.500
H1 0.000 0.156 0.448
H2 0.001 0.384 0.839
H3 0.105 0.000 0.316
H4 0.109 0.263 0.094
H5 0.111 0.263 0.906
Pt1 0.000 0.500 0.000
C1 0.105 0.499 0.319
N1 0.001 0.334 0.901
O1 0.000 0.000 0.356
O2 0.000 0.225 0.500
O3 0.181 0.499 0.395
O4 0.183 0.499 0.245

Top 10 peaks for 10° ≤ 2θ ≤ 90°, by angle:
index	2theta	Rel. int.
0 0 2	11.7	66.9
1 1 0	15.7	100.0
1 1 2	19.6	44.4
0 2 0	20.5	51.5
2 0 0	23.8	23.1
2 0 2	26.6	54.2
1 1 4	28.4	24.7
1 2 3	29.7	29.6
2 2 2	33.9	20.1
2 2 6	48.4	19.7

=====

Diffraction record for MgZnH20PtC4N4O12. The PXRD pattern is theoretical, not measured: it uses the PBE geometry in the Materials Project and Cu Kα.

Structural model:
a b c (Å): 7.566 7.988 9.154
angles (deg): 115.71 114.30 90.14
Space group P1 (No. 1)
Unique sites:
Mg1 0.000 0.000 0.000
Zn1 0.617 0.616 0.234
H1 0.062 0.488 0.345
H2 0.064 0.855 0.348
H3 0.116 0.343 0.015
H4 0.120 0.677 0.021
H5 0.264 0.531 0.528
H6 0.266 0.997 0.530
H7 0.283 0.489 0.345
H8 0.285 0.856 0.347
H9 0.321 0.926 0.853
H10 0.532 0.926 0.852
H11 0.557 0.897 0.116
H12 0.559 0.217 0.115
H13 0.665 0.014 0.333
H14 0.668 0.317 0.333
H15 0.687 0.294 0.587
H16 0.899 0.343 0.017
H17 0.900 0.673 0.016
H18 0.901 0.294 0.587
H19 0.913 0.221 0.830
H20 0.921 0.609 0.832
Pt1 0.176 0.175 0.353
C1 0.326 0.431 0.861
C2 0.535 0.431 0.861
C3 0.703 0.805 0.612
C4 0.910 0.806 0.612
N1 0.194 0.448 0.389
N2 0.196 0.940 0.391
N3 0.982 0.256 0.965
N4 0.985 0.709 0.966
O1 0.061 0.885 0.767
O2 0.171 0.359 0.713
O3 0.332 0.508 0.020
O4 0.466 0.966 0.933
O5 0.541 0.356 0.712
O6 0.549 0.728 0.459
O7 0.611 0.884 0.228
O8 0.617 0.343 0.227
O9 0.689 0.511 0.020
O10 0.706 0.883 0.767
O11 0.755 0.254 0.509
O12 0.909 0.729 0.458

Top 10 peaks for 10° ≤ 2θ ≤ 90°, by angle:
index	2theta	Rel. int.
0 0 1	12.1	30.5
1 1 -1	16.1	100.0
1 1 0	20.2	42.4
0 2 -1	22.3	38.2
2 0 -1	23.5	25.3
2 0 0	26.5	26.2
-2 1 1	26.8	19.0
1 1 1	29.3	17.8
1 -3 1	35.7	19.5
3 1 -1	39.4	17.8